# 1
For Pm5Zn2Te2, a PBE-relaxed structure gives the calculated PXRD pattern in this record (Cu Kα, 1.54184 Å).
No peak broadening, texture or thermal motion is included.

Structure:
```
Pm5Zn2Te2
1.0
8.034 -4.071 0.000
8.034 4.071 0.000
0.000 0.000 7.935
Pm Zn Te
10 4 4
Direct
0.000 0.000 0.000 Pm
0.036 0.700 0.662 Pm
0.200 0.536 0.162 Pm
0.300 0.964 0.662 Pm
0.464 0.800 0.162 Pm
0.500 0.500 0.500 Pm
0.536 0.200 0.838 Pm
0.700 0.036 0.338 Pm
0.800 0.464 0.838 Pm
0.964 0.300 0.338 Pm
0.125 0.875 0.380 Zn
0.375 0.625 0.880 Zn
0.625 0.375 0.120 Zn
0.875 0.125 0.620 Zn
0.202 0.202 0.000 Te
0.298 0.298 0.500 Te
0.702 0.702 0.500 Te
0.798 0.798 0.000 Te
```

The 10 most intense peaks (2θ = 15–90°), in order of rising 2θ:
- 2θ = 24.58°, I 427
- 2θ = 30.10°, I 1000
- 2θ = 31.28°, I 591
- 2θ = 31.49°, I 580
- 2θ = 31.70°, I 516
- 2θ = 32.00°, I 629
- 2θ = 33.31°, I 957
- 2θ = 35.40°, I 756
- 2θ = 36.14°, I 651
- 2θ = 56.39°, I 323


# 2
For KRb2F6, a PBE-relaxed structure gives the calculated PXRD pattern in this record (Cu Kα, 1.54184 Å).
No peak broadening, texture or thermal motion is included.

Structure:
```
KRb2F6
1.0
6.259 -3.681 0.000
6.259 3.681 0.000
-0.030 0.000 3.781
K Rb F
1 2 6
Direct
0.000 0.000 0.000 K
0.334 0.334 0.001 Rb
0.665 0.665 0.999 Rb
0.000 0.501 0.500 F
0.155 0.680 0.500 F
0.320 0.845 0.500 F
0.501 0.000 0.500 F
0.680 0.155 0.500 F
0.845 0.320 0.500 F
```

The 10 most intense peaks (2θ = 15–90°), in order of rising 2θ:
- 2θ = 24.52°, I 984
- 2θ = 33.99°, I 1000
- 2θ = 34.12°, I 408
- 2θ = 34.37°, I 400
- 2θ = 42.75°, I 211
- 2θ = 48.13°, I 170
- 2θ = 49.49°, I 288
- 2θ = 49.75°, I 153
- 2θ = 50.11°, I 149
- 2θ = 50.27°, I 302


# 3
For LiCeH6Pd, a PBE-relaxed structure gives the calculated PXRD pattern in this record (Cu Kα, 1.54184 Å).
No peak broadening, texture or thermal motion is included.

Structure:
```
LiCeH6Pd
1.0
4.499 0.000 0.000
-2.250 3.897 0.000
0.000 0.000 4.465
Li Ce H Pd
1 1 6 1
Direct
0.000 0.000 0.000 Li
0.667 0.333 0.500 Ce
0.171 0.341 0.281 H
0.171 0.341 0.719 H
0.171 0.829 0.281 H
0.171 0.829 0.719 H
0.659 0.829 0.281 H
0.659 0.829 0.719 H
0.333 0.667 0.000 Pd
```

The 10 most intense peaks (2θ = 15–90°), in order of rising 2θ:
- 2θ = 22.82°, I 319
- 2θ = 30.45°, I 1000
- 2θ = 40.08°, I 320
- 2θ = 40.40°, I 101
- 2θ = 46.90°, I 98
- 2θ = 51.15°, I 235
- 2θ = 58.22°, I 219
- 2θ = 66.90°, I 205
- 2θ = 67.35°, I 101
- 2θ = 86.73°, I 71


# 4
For Pm2Y6Ho2Er, a PBE-relaxed structure gives the calculated PXRD pattern in this record (Cu Kα, 1.54184 Å).
No peak broadening, texture or thermal motion is included.

Structure:
```
Pm2Y6Ho2Er
1.0
2.832 -6.021 0.000
2.832 6.021 0.000
-0.009 0.000 10.626
Pm Y Ho Er
2 6 2 1
Direct
0.135 0.865 0.000 Pm
0.865 0.135 0.000 Pm
0.001 0.001 0.296 Y
0.346 0.653 0.789 Y
0.347 0.654 0.211 Y
0.653 0.346 0.789 Y
0.654 0.347 0.211 Y
0.999 0.999 0.704 Y
0.205 0.795 0.500 Ho
0.795 0.205 0.500 Ho
0.500 0.500 0.500 Er
```

The 10 most intense peaks (2θ = 15–90°), in order of rising 2θ:
- 2θ = 30.68°, I 275
- 2θ = 30.87°, I 225
- 2θ = 31.60°, I 373
- 2θ = 32.11°, I 1000
- 2θ = 33.74°, I 198
- 2θ = 44.76°, I 162
- 2θ = 46.90°, I 157
- 2θ = 56.59°, I 257
- 2θ = 62.19°, I 144
- 2θ = 62.78°, I 123